For TaTlNi, a GGA-PBE-relaxed structure gives the theoretical X-ray diffraction stick pattern in this record (a wavelength of 1.5418 Å).

Cell and atoms:
```
TaTlNi
1.0
4.4753 0.0000 0.0000
-2.2377 3.8757 0.0000
0.0000 0.0000 2.9711
Ta Tl Ni
1 1 1
direct
0.0000 0.0000 0.0000 Ta
0.6667 0.3333 0.5000 Tl
0.3333 0.6667 0.5029 Ni
```

Main lines, sorted by position (10 to 90 degrees two-theta):
| two_theta | Rel. int. |
| --- | --- |
| 22.95 | 25 |
| 38.17 | 100 |
| 40.31 | 77 |
| 46.88 | 4 |
| 56.71 | 32 |
| 62.52 | 7 |
| 71.85 | 32 |
| 73.27 | 13 |
| 77.06 | 23 |
| 87.11 | 9 |

=====

For RbAgTe5, a GGA-PBE-relaxed structure gives the theoretical X-ray diffraction stick pattern in this record (a wavelength of 1.5418 Å).

Cell and atoms:
```
RbAgTe5
1.0
7.1472 0.0000 0.0000
0.1630 7.5277 0.0000
3.5715 3.4452 10.2485
Rb Ag Te
2 2 10
direct
0.1901 0.2128 0.2810 Rb
0.8099 0.7872 0.7190 Rb
0.0000 0.5000 0.0000 Ag
0.5000 0.0000 0.0000 Ag
0.1801 0.7332 0.2336 Te
0.2412 0.9377 0.8767 Te
0.2628 0.2818 0.6554 Te
0.2673 0.6962 0.4646 Te
0.2989 0.6205 0.7778 Te
0.7011 0.3795 0.2222 Te
0.7327 0.3038 0.5354 Te
0.7372 0.7182 0.3446 Te
0.7588 0.0623 0.1233 Te
0.8199 0.2668 0.7664 Te
```

Main lines, sorted by position (10 to 90 degrees two-theta):
| two_theta | Rel. int. |
| --- | --- |
| 12.66 | 60 |
| 17.30 | 83 |
| 24.63 | 63 |
| 26.36 | 100 |
| 30.39 | 58 |
| 30.62 | 56 |
| 31.23 | 58 |
| 35.04 | 81 |
| 38.70 | 57 |
| 39.06 | 52 |

=====

For Na2LiH5Ru, a GGA-PBE-relaxed structure gives the theoretical X-ray diffraction stick pattern in this record (a wavelength of 1.5418 Å).

Cell and atoms:
```
Na2LiH5Ru
1.0
-1.7380 2.5217 5.3242
1.7380 -2.5217 5.3242
1.7380 2.5217 -5.3242
Na Li H Ru
2 1 5 1
direct
0.2164 0.2164 0.0000 Na
0.7836 0.7836 0.0000 Na
0.5000 0.0000 0.5000 Li
0.0000 0.0000 0.0000 H
0.1374 0.3887 0.7486 H
0.3599 0.6113 0.7486 H
0.6401 0.3887 0.2514 H
0.8626 0.6113 0.2514 H
0.0000 0.5000 0.5000 Ru
```

Main lines, sorted by position (10 to 90 degrees two-theta):
| two_theta | Rel. int. |
| --- | --- |
| 16.65 | 27 |
| 19.48 | 99 |
| 26.98 | 30 |
| 33.67 | 19 |
| 35.61 | 100 |
| 36.17 | 25 |
| 46.28 | 16 |
| 49.81 | 14 |
| 51.66 | 19 |
| 63.96 | 20 |

=====

For Rb4I3, a GGA-PBE-relaxed structure gives the theoretical X-ray diffraction stick pattern in this record (a wavelength of 1.5418 Å).

Cell and atoms:
```
Rb4I3
1.0
2.6122 1.5082 17.4893
-2.6122 1.5082 17.4893
0.0000 -3.0163 17.4893
Rb I
4 3
direct
0.1250 0.1250 0.1250 Rb
0.3741 0.3741 0.3741 Rb
0.6259 0.6259 0.6259 Rb
0.8750 0.8750 0.8750 Rb
0.2502 0.2502 0.2502 I
0.5000 0.5000 0.5000 I
0.7498 0.7498 0.7498 I
```

Main lines, sorted by position (10 to 90 degrees two-theta):
| two_theta | Rel. int. |
| --- | --- |
| 23.89 | 100 |
| 33.76 | 41 |
| 34.33 | 39 |
| 41.30 | 8 |
| 42.26 | 21 |
| 48.91 | 14 |
| 54.75 | 20 |
| 55.53 | 19 |
| 60.01 | 7 |
| 61.12 | 14 |

=====

For Nd2NpUN6, a GGA-PBE-relaxed structure gives the theoretical X-ray diffraction stick pattern in this record (a wavelength of 1.5418 Å).

Cell and atoms:
```
Nd2NpUN6
1.0
5.8606 0.0000 0.0000
0.0000 6.0203 0.0000
-5.8326 0.0000 8.3919
Nd Np U N
4 2 2 12
direct
0.2374 0.0484 0.2495 Nd
0.2374 0.4516 0.7495 Nd
0.7626 0.5484 0.2505 Nd
0.7626 0.9516 0.7505 Nd
0.0000 0.0000 0.5000 Np
0.0000 0.5000 0.0000 Np
0.5000 0.0000 0.0000 U
0.5000 0.5000 0.5000 U
0.1617 0.1984 0.9456 N
0.1617 0.3016 0.4456 N
0.2254 0.6968 0.9452 N
0.2254 0.8032 0.4452 N
0.3535 0.0357 0.7508 N
0.3535 0.4643 0.2508 N
0.6465 0.5357 0.7492 N
0.6465 0.9643 0.2492 N
0.7746 0.1968 0.5548 N
0.7746 0.3032 0.0548 N
0.8383 0.6984 0.5544 N
0.8383 0.8016 0.0544 N
```

Main lines, sorted by position (10 to 90 degrees two-theta):
| two_theta | Rel. int. |
| --- | --- |
| 21.16 | 13 |
| 29.68 | 24 |
| 30.11 | 100 |
| 30.51 | 24 |
| 43.09 | 32 |
| 52.94 | 17 |
| 53.22 | 10 |
| 53.88 | 16 |
| 54.04 | 11 |
| 71.07 | 9 |

=====

For Zr6Al7Cu16H3, a GGA-PBE-relaxed structure gives the theoretical X-ray diffraction stick pattern in this record (a wavelength of 1.5418 Å).

Cell and atoms:
```
Zr6Al7Cu16H3
1.0
-4.2274 4.2410 6.0346
4.2274 -4.2410 6.0346
4.2274 4.2410 -6.0346
Zr Al Cu H
6 7 16 3
direct
0.0000 0.0000 0.0000 Zr
0.0109 0.0113 0.5988 Zr
0.0109 0.4121 0.9996 Zr
0.4125 0.0113 0.0004 Zr
0.4125 0.4121 0.4012 Zr
0.4274 0.4274 0.0000 Zr
0.2129 0.2118 0.4975 Al
0.2129 0.7154 0.0011 Al
0.2135 0.7135 0.5000 Al
0.7126 0.2126 0.5000 Al
0.7127 0.7127 0.0000 Al
0.7143 0.2118 0.9989 Al
0.7143 0.7154 0.5025 Al
0.0393 0.3898 0.6495 Cu
0.0434 0.3840 0.3406 Cu
0.0434 0.7028 0.6594 Cu
0.0707 0.8302 0.2404 Cu
0.3536 0.5944 0.7592 Cu
0.3832 0.0439 0.6606 Cu
0.3832 0.7226 0.3394 Cu
0.3849 0.0412 0.3438 Cu
0.5898 0.8302 0.7596 Cu
0.5950 0.3544 0.7594 Cu
0.5950 0.8356 0.2406 Cu
0.6974 0.0412 0.6562 Cu
0.7403 0.3898 0.3505 Cu
0.8304 0.0716 0.2413 Cu
0.8304 0.5891 0.7587 Cu
0.8352 0.5944 0.2408 Cu
0.1359 0.3033 0.8326 H
0.1706 0.1706 0.0000 H
0.4707 0.3033 0.1674 H
```

Main lines, sorted by position (10 to 90 degrees two-theta):
| two_theta | Rel. int. |
| --- | --- |
| 25.70 | 40 |
| 36.71 | 28 |
| 38.79 | 32 |
| 38.98 | 67 |
| 39.07 | 61 |
| 42.54 | 100 |
| 42.64 | 22 |
| 42.78 | 23 |
| 44.69 | 15 |
| 45.44 | 21 |

=====

For Pa3Ni3Te4, a GGA-PBE-relaxed structure gives the theoretical X-ray diffraction stick pattern in this record (a wavelength of 1.5418 Å).

Cell and atoms:
```
Pa3Ni3Te4
1.0
-4.7335 4.7335 4.7335
4.7335 -4.7335 4.7335
4.7335 4.7335 -4.7335
Pa Ni Te
6 6 8
direct
0.1250 0.7500 0.8750 Pa
0.2500 0.6250 0.3750 Pa
0.3750 0.2500 0.6250 Pa
0.6250 0.3750 0.2500 Pa
0.7500 0.8750 0.1250 Pa
0.8750 0.1250 0.7500 Pa
0.1250 0.8750 0.2500 Ni
0.2500 0.1250 0.8750 Ni
0.3750 0.6250 0.7500 Ni
0.6250 0.7500 0.3750 Ni
0.7500 0.3750 0.6250 Ni
0.8750 0.2500 0.1250 Ni
0.0000 0.3339 0.5000 Te
0.0000 0.8339 0.5000 Te
0.1661 0.1661 0.1661 Te
0.3339 0.5000 0.0000 Te
0.5000 0.0000 0.3339 Te
0.5000 0.0000 0.8339 Te
0.6661 0.6661 0.6661 Te
0.8339 0.5000 0.0000 Te
```

Main lines, sorted by position (10 to 90 degrees two-theta):
| two_theta | Rel. int. |
| --- | --- |
| 23.01 | 15 |
| 29.84 | 64 |
| 35.48 | 100 |
| 42.71 | 43 |
| 44.91 | 15 |
| 47.02 | 15 |
| 60.26 | 25 |
| 62.00 | 12 |
| 63.71 | 12 |
| 73.51 | 17 |

=====

For LiSm2RhO5, a GGA-PBE-relaxed structure gives the theoretical X-ray diffraction stick pattern in this record (a wavelength of 1.5418 Å).

Cell and atoms:
```
LiSm2RhO5
1.0
6.7047 0.0000 0.0000
0.0000 6.7047 0.0000
0.0000 0.0000 5.7691
Li Sm Rh O
2 4 2 10
direct
0.0000 0.0000 0.0000 Li
0.5000 0.5000 0.0000 Li
0.1762 0.3238 0.5000 Sm
0.3238 0.8238 0.5000 Sm
0.6762 0.1762 0.5000 Sm
0.8238 0.6762 0.5000 Sm
0.0000 0.5000 0.0000 Rh
0.5000 0.0000 0.0000 Rh
0.0000 0.0000 0.5000 O
0.1369 0.6369 0.2518 O
0.1369 0.6369 0.7482 O
0.3631 0.1369 0.2518 O
0.3631 0.1369 0.7482 O
0.5000 0.5000 0.5000 O
0.6369 0.8631 0.2518 O
0.6369 0.8631 0.7482 O
0.8631 0.3631 0.2518 O
0.8631 0.3631 0.7482 O
```

Main lines, sorted by position (10 to 90 degrees two-theta):
| two_theta | Rel. int. |
| --- | --- |
| 15.36 | 75 |
| 18.72 | 70 |
| 29.80 | 38 |
| 30.85 | 100 |
| 31.00 | 42 |
| 33.69 | 96 |
| 43.54 | 70 |
| 45.58 | 56 |
| 56.88 | 22 |
| 59.02 | 28 |

=====

What is the formula in the sixth record?
Zr6Al7Cu16H3

=====

Which formula does entry 1 have?
TaTlNi